# TbNbRu2
Simulated X-ray diffraction stick pattern, λ = 1.5418 Å (Cu Kα). Input: a DFT-relaxed cell (GGA-PBE, the Materials Project).
Neutral-atom scattering factors, no anomalous dispersion.

Structural model:
```
data_TbNbRu2
_cell_length_a 6.5754
_cell_length_b 6.5754
_cell_length_c 6.5754
_cell_angle_alpha 90.00
_cell_angle_beta 90.00
_cell_angle_gamma 90.00
_symmetry_space_group_name_H-M 'F m -3 m'
_symmetry_Int_Tables_number 225
_symmetry_space_group_name_Hall '-F 4 2 3'
loop_
_atom_site_label
_atom_site_type_symbol
_atom_site_fract_x
_atom_site_fract_y
_atom_site_fract_z
Tb1 Tb 0.0000 0.0000 0.0000
Nb1 Nb 0.0000 0.0000 0.5000
Ru1 Ru 0.2500 0.2500 0.2500
```

Peak list (10 most intense, 10° ≤ 2θ ≤ 90°, most intense first)
- (2 2 0), 2θ 38.7, d = 2.325 Å, I 100.0
- (4 2 2), 2θ 70.1, d = 1.342 Å, I 34.0
- (4 0 0), 2θ 55.9, d = 1.644 Å, I 16.9
- (4 4 0), 2θ 83.1, d = 1.162 Å, I 10.7
- (1 1 1), 2θ 23.4, d = 3.796 Å, I 4.2
- (3 1 1), 2θ 45.8, d = 1.983 Å, I 2.3
- (2 0 0), 2θ 27.1, d = 3.288 Å, I 1.3
- (3 3 1), 2θ 61.5, d = 1.508 Å, I 1.0
- (5 3 1), 2θ 87.8, d = 1.111 Å, I 0.8
- (5 1 1), 2θ 75.1, d = 1.265 Å, I 0.8


# Nb2TcRu
Simulated X-ray diffraction stick pattern, λ = 1.5418 Å (Cu Kα). Input: a DFT-relaxed cell (GGA-PBE, the Materials Project).
Neutral-atom scattering factors, no anomalous dispersion.

Structural model:
```
data_Nb2TcRu
_cell_length_a 6.3830
_cell_length_b 6.3830
_cell_length_c 6.3830
_cell_angle_alpha 90.00
_cell_angle_beta 90.00
_cell_angle_gamma 90.00
_symmetry_space_group_name_H-M 'F m -3 m'
_symmetry_Int_Tables_number 225
_symmetry_space_group_name_Hall '-F 4 2 3'
loop_
_atom_site_label
_atom_site_type_symbol
_atom_site_fract_x
_atom_site_fract_y
_atom_site_fract_z
Nb1 Nb 0.2500 0.2500 0.2500
Tc1 Tc 0.0000 0.0000 0.0000
Ru1 Ru 0.0000 0.0000 0.5000
```

Peak list (4 most intense, 10° ≤ 2θ ≤ 90°, most intense first)
- (2 2 0), 2θ 39.9, d = 2.257 Å, I 100.0
- (4 2 2), 2θ 72.6, d = 1.303 Å, I 32.8
- (4 0 0), 2θ 57.8, d = 1.596 Å, I 16.5
- (4 4 0), 2θ 86.2, d = 1.128 Å, I 10.5